Record 1
Structure and simulated X-ray diffraction stick pattern of LiV6O7F5 (a cell relaxed with PBE+U; copper Kα).
Lines closer than 0.1° are merged.

Top 10 peaks for 2θ = 15–90°, low angle first:
3.409 Å, 26.14 deg, intensity 100, hkl 1 1 1; 3.380 Å, 26.37 deg, intensity 98, hkl -1 1 1; 2.604 Å, 34.44 deg, intensity 48, hkl 1 -1 2; 2.598 Å, 34.52 deg, intensity 51, hkl 0 2 -1; 2.286 Å, 39.42 deg, intensity 25, hkl 1 -2 1; 1.768 Å, 51.71 deg, intensity 30, hkl 2 2 -1; 1.764 Å, 51.84 deg, intensity 30, hkl 1 3 0; 1.759 Å, 52.00 deg, intensity 42, hkl 1 -3 0; 1.705 Å, 53.77 deg, intensity 20, hkl 2 2 2; 1.547 Å, 59.76 deg, intensity 19, hkl 0 2 -4

Structural model:
```
data_LiV6O7F5
_cell_length_a 4.817
_cell_length_b 5.695
_cell_length_c 7.831
_cell_angle_alpha 85.15
_cell_angle_beta 89.55
_cell_angle_gamma 89.69
_symmetry_space_group_name_H-M 'P 1'
_symmetry_Int_Tables_number 1
loop_
_symmetry_equiv_pos_as_xyz
'x,y,z'
loop_
_atom_site_label
_atom_site_fract_x
_atom_site_fract_y
_atom_site_fract_z
_atom_site_occupancy
Li1 0.000 0.000 0.000 1
V1 0.026 0.569 0.884 1
V2 0.040 0.941 0.575 1
V3 0.473 0.432 0.550 1
V4 0.484 0.774 0.252 1
V5 0.488 0.119 0.909 1
V6 0.988 0.286 0.246 1
O1 0.191 0.239 0.464 1
O2 0.192 0.898 0.812 1
O3 0.293 0.742 0.468 1
O4 0.297 0.068 0.136 1
O5 0.313 0.399 0.789 1
O6 0.693 0.484 0.330 1
O7 0.816 0.293 0.998 1
F1 0.197 0.575 0.129 1
F2 0.698 0.131 0.666 1
F3 0.704 0.798 0.009 1
F4 0.799 0.976 0.345 1
F5 0.801 0.635 0.663 1
```

Record 2
Structure and simulated X-ray diffraction stick pattern of Ba4Fe12Si8ClO35 (a cell relaxed with PBE+U; copper Kα).
Lines closer than 0.1° are merged.

Top 10 peaks for 2θ = 15–90°, low angle first:
3.763 Å, 23.64 deg, intensity 43, hkl 2 0 -1; 3.515 Å, 25.34 deg, intensity 65, hkl 0 2 -1; 3.401 Å, 26.20 deg, intensity 31, hkl 0 0 3; 3.077 Å, 29.01 deg, intensity 44, hkl 0 2 3; 2.853 Å, 31.35 deg, intensity 26, hkl 2 0 3; 2.797 Å, 32.00 deg, intensity 100, hkl 1 3 0; 2.693 Å, 33.26 deg, intensity 36, hkl 1 1 4; 2.685 Å, 33.37 deg, intensity 37, hkl -2 2 1; 2.615 Å, 34.30 deg, intensity 31, hkl 3 1 -1; 1.759 Å, 51.98 deg, intensity 28, hkl 4 4 2

Structural model:
```
data_Ba4Fe12Si8ClO35
_cell_length_a 8.895
_cell_length_b 8.905
_cell_length_c 10.831
_cell_angle_alpha 71.90
_cell_angle_beta 78.47
_cell_angle_gamma 75.50
_symmetry_space_group_name_H-M 'P 1'
_symmetry_Int_Tables_number 1
loop_
_symmetry_equiv_pos_as_xyz
'x,y,z'
loop_
_atom_site_label
_atom_site_fract_x
_atom_site_fract_y
_atom_site_fract_z
_atom_site_occupancy
Ba1 0.000 0.000 0.000 1
Ba2 0.020 0.539 0.882 1
Ba3 0.501 0.500 0.999 1
Ba4 0.522 0.041 0.875 1
Fe1 0.011 0.271 0.440 1
Fe2 0.132 0.911 0.427 1
Fe3 0.225 0.198 0.156 1
Fe4 0.278 0.511 0.424 1
Fe5 0.297 0.844 0.717 1
Fe6 0.396 0.145 0.441 1
Fe7 0.508 0.771 0.437 1
Fe8 0.631 0.377 0.440 1
Fe9 0.722 0.698 0.156 1
Fe10 0.765 0.016 0.438 1
Fe11 0.798 0.343 0.717 1
Fe12 0.874 0.660 0.423 1
Si1 0.112 0.581 0.167 1
Si2 0.187 0.236 0.706 1
Si3 0.335 0.806 0.167 1
Si4 0.412 0.458 0.708 1
Si5 0.611 0.080 0.168 1
Si6 0.684 0.736 0.707 1
Si7 0.835 0.308 0.166 1
Si8 0.911 0.962 0.708 1
Cl1 0.079 0.636 0.572 1
O1 0.009 0.293 0.774 1
O2 0.013 0.249 0.099 1
O3 0.067 0.856 0.776 1
O4 0.087 0.521 0.329 1
O5 0.190 0.145 0.340 1
O6 0.203 0.439 0.098 1
O7 0.209 0.288 0.544 1
O8 0.231 0.711 0.117 1
O9 0.258 0.046 0.772 1
O10 0.264 0.995 0.102 1
O11 0.293 0.329 0.757 1
O12 0.314 0.750 0.328 1
O13 0.321 0.603 0.774 1
O14 0.329 0.902 0.532 1
O15 0.448 0.512 0.546 1
O16 0.452 0.399 0.339 1
O17 0.455 0.185 0.101 1
O18 0.507 0.793 0.779 1
O19 0.512 0.749 0.098 1
O20 0.569 0.355 0.775 1
O21 0.582 0.016 0.328 1
O22 0.597 0.156 0.526 1
O23 0.682 0.631 0.341 1
O24 0.696 0.789 0.547 1
O25 0.703 0.937 0.099 1
O26 0.730 0.210 0.119 1
O27 0.757 0.546 0.773 1
O28 0.764 0.497 0.098 1
O29 0.791 0.833 0.754 1
O30 0.815 0.263 0.327 1
O31 0.819 0.104 0.778 1
O32 0.821 0.400 0.530 1
O33 0.933 0.892 0.350 1
O34 0.940 0.029 0.548 1
O35 0.953 0.684 0.104 1
```

Record 3
Structure and simulated X-ray diffraction stick pattern of LiVF4 (a cell relaxed with PBE+U; copper Kα).
Lines closer than 0.1° are merged.

Top 10 peaks for 2θ = 15–90°, low angle first:
4.806 Å, 18.46 deg, intensity 100, hkl 1 1 0; 4.202 Å, 21.14 deg, intensity 25, hkl 0 2 0; 2.929 Å, 30.52 deg, intensity 13, hkl 2 0 0; 2.657 Å, 33.73 deg, intensity 31, hkl 1 1 2; 2.527 Å, 35.52 deg, intensity 9, hkl 1 3 0; 2.157 Å, 41.88 deg, intensity 41, hkl 2 0 2; 2.101 Å, 43.06 deg, intensity 17, hkl 0 4 0; 1.919 Å, 47.37 deg, intensity 10, hkl 2 2 2; 1.634 Å, 56.32 deg, intensity 14, hkl 3 1 2; 1.505 Å, 61.62 deg, intensity 22, hkl 2 4 2

Structural model:
```
data_LiVF4
_cell_length_a 5.859
_cell_length_b 8.403
_cell_length_c 6.378
_cell_angle_alpha 90.00
_cell_angle_beta 90.00
_cell_angle_gamma 90.00
_symmetry_space_group_name_H-M 'C m c m'
_symmetry_Int_Tables_number 63
_symmetry_space_group_name_Hall '-C 2c 2'
loop_
_atom_site_label
_atom_site_fract_x
_atom_site_fract_y
_atom_site_fract_z
_atom_site_occupancy
Li1 0.000 0.143 0.250 1
V1 0.000 0.500 0.000 1
F1 0.000 0.275 0.018 1
F2 0.221 0.488 0.750 1
```

Record 4
Structure and simulated X-ray diffraction stick pattern of MnP2H6O5 (a cell relaxed with PBE+U; copper Kα).
Lines closer than 0.1° are merged.

Top 10 peaks for 2θ = 15–90°, low angle first:
5.157 Å, 17.19 deg, intensity 100, hkl 1 1 -1; 4.943 Å, 17.94 deg, intensity 52, hkl 1 0 -2; 4.131 Å, 21.51 deg, intensity 41, hkl 1 1 -2; 3.535 Å, 25.19 deg, intensity 53, hkl 1 1 2; 3.322 Å, 26.84 deg, intensity 32, hkl 1 2 -1; 3.141 Å, 28.42 deg, intensity 38, hkl 1 2 1; 3.112 Å, 28.68 deg, intensity 41, hkl 2 1 1; 2.993 Å, 29.85 deg, intensity 33, hkl 1 2 -2; 2.767 Å, 32.35 deg, intensity 33, hkl 2 1 -3; 2.581 Å, 34.75 deg, intensity 27, hkl 0 2 3

Structural model:
```
data_MnP2H6O5
_cell_length_a 7.986
_cell_length_b 7.521
_cell_length_c 10.939
_cell_angle_alpha 90.00
_cell_angle_beta 102.90
_cell_angle_gamma 90.00
_symmetry_space_group_name_H-M 'P 1 21/c 1'
_symmetry_Int_Tables_number 14
loop_
_symmetry_equiv_pos_as_xyz
'x,y,z'
'-x,-y,-z'
'-x,y+1/2,-z+1/2'
'x,-y+1/2,z+1/2'
loop_
_atom_site_label
_atom_site_fract_x
_atom_site_fract_y
_atom_site_fract_z
_atom_site_occupancy
Mn1 0.192 0.047 0.103 1
P1 0.034 0.178 0.349 1
P2 0.469 0.111 0.688 1
H1 0.112 0.572 0.149 1
H2 0.172 0.074 0.414 1
H3 0.201 0.678 0.406 1
H4 0.383 0.110 0.789 1
H5 0.402 0.655 0.454 1
H6 0.410 0.548 0.122 1
O1 0.023 0.154 0.928 1
O2 0.048 0.205 0.214 1
O3 0.291 0.635 0.476 1
O4 0.337 0.600 0.761 1
O5 0.406 0.230 0.103 1
```

Record 5
Structure and simulated X-ray diffraction stick pattern of BaDyV4O12 (a cell relaxed with PBE+U; copper Kα).
Lines closer than 0.1° are merged.

Top 10 peaks for 2θ = 15–90°, low angle first:
4.390 Å, 20.23 deg, intensity 100, hkl 1 0 1; 2.697 Å, 33.22 deg, intensity 31, hkl 2 0 0; 2.684 Å, 33.39 deg, intensity 60, hkl 1 1 2; 2.298 Å, 39.20 deg, intensity 36, hkl 2 1 1; 2.282 Å, 39.49 deg, intensity 18, hkl 1 0 3; 2.195 Å, 41.12 deg, intensity 15, hkl 2 0 2; 1.907 Å, 47.69 deg, intensity 27, hkl 2 2 0; 1.742 Å, 52.53 deg, intensity 16, hkl 2 1 3; 1.555 Å, 59.46 deg, intensity 23, hkl 3 1 2; 1.342 Å, 70.13 deg, intensity 15, hkl 2 2 4

Structural model:
```
data_BaDyV4O12
_cell_length_a 5.394
_cell_length_b 5.394
_cell_length_c 7.555
_cell_angle_alpha 90.00
_cell_angle_beta 90.00
_cell_angle_gamma 90.00
_symmetry_space_group_name_H-M 'P 4/m m m'
_symmetry_Int_Tables_number 123
_symmetry_space_group_name_Hall '-P 4 2'
loop_
_atom_site_label
_atom_site_fract_x
_atom_site_fract_y
_atom_site_fract_z
_atom_site_occupancy
Ba1 0.000 0.000 0.000 1
Dy1 0.500 0.500 0.500 1
V1 0.000 0.500 0.254 1
O1 0.000 0.500 0.000 1
O2 0.000 0.500 0.500 1
O3 0.257 0.257 0.264 1
```

Record 6
Structure and simulated X-ray diffraction stick pattern of NdCuW2O8 (a cell relaxed with PBE+U; copper Kα).
Lines closer than 0.1° are merged.

Top 10 peaks for 2θ = 15–90°, low angle first:
5.271 Å, 16.82 deg, intensity 25, hkl 0 1 0; 4.902 Å, 18.10 deg, intensity 46, hkl 0 1 -1; 3.399 Å, 26.22 deg, intensity 76, hkl -1 1 1; 3.374 Å, 26.42 deg, intensity 100, hkl 1 0 1; 3.089 Å, 28.91 deg, intensity 34, hkl 0 1 -2; 3.056 Å, 29.23 deg, intensity 58, hkl 1 1 -1; 2.903 Å, 30.80 deg, intensity 53, hkl 1 -2 1; 2.636 Å, 34.02 deg, intensity 45, hkl 0 2 0; 2.570 Å, 34.90 deg, intensity 39, hkl 2 -1 0; 1.815 Å, 50.26 deg, intensity 22, hkl 1 1 2

Structural model:
```
data_NdCuW2O8
_cell_length_a 5.149
_cell_length_b 6.100
_cell_length_c 6.323
_cell_angle_alpha 108.43
_cell_angle_beta 92.55
_cell_angle_gamma 112.16
_symmetry_space_group_name_H-M 'P 1'
_symmetry_Int_Tables_number 1
loop_
_symmetry_equiv_pos_as_xyz
'x,y,z'
loop_
_atom_site_label
_atom_site_fract_x
_atom_site_fract_y
_atom_site_fract_z
_atom_site_occupancy
Nd1 0.000 0.000 0.000 1
Cu1 0.495 0.993 0.494 1
W1 0.256 0.485 0.663 1
W2 0.756 0.513 0.343 1
O1 0.029 0.687 0.667 1
O2 0.030 0.252 0.771 1
O3 0.479 0.301 0.530 1
O4 0.504 0.263 0.092 1
O5 0.504 0.728 0.919 1
O6 0.536 0.700 0.479 1
O7 0.974 0.742 0.227 1
O8 0.988 0.317 0.338 1
```

Record 7
Structure and simulated X-ray diffraction stick pattern of Li4Co5Ni3O16 (a cell relaxed with PBE+U; copper Kα).
Lines closer than 0.1° are merged.

Top 10 peaks for 2θ = 15–90°, low angle first:
4.549 Å, 19.52 deg, intensity 60, hkl 0 0 2; 4.295 Å, 20.68 deg, intensity 100, hkl 2 0 -1; 3.325 Å, 26.82 deg, intensity 30, hkl 1 1 2; 2.575 Å, 34.84 deg, intensity 27, hkl 2 0 -3; 2.394 Å, 37.57 deg, intensity 33, hkl 3 1 -2; 2.353 Å, 38.25 deg, intensity 54, hkl 4 0 1; 2.148 Å, 42.06 deg, intensity 26, hkl 2 2 -2; 1.900 Å, 47.88 deg, intensity 49, hkl 4 0 -3; 1.456 Å, 63.93 deg, intensity 20, hkl 2 2 5; 1.406 Å, 66.48 deg, intensity 35, hkl 0 4 0

Structural model:
```
data_Li4Co5Ni3O16
_cell_length_a 9.738
_cell_length_b 5.628
_cell_length_c 9.097
_cell_angle_alpha 90.00
_cell_angle_beta 90.19
_cell_angle_gamma 90.00
_symmetry_space_group_name_H-M 'C 1 m 1'
_symmetry_Int_Tables_number 8
loop_
_symmetry_equiv_pos_as_xyz
'x,y,z'
'x,-y,z'
'x+1/2,y+1/2,z'
'x+1/2,-y+1/2,z'
loop_
_atom_site_label
_atom_site_fract_x
_atom_site_fract_y
_atom_site_fract_z
_atom_site_occupancy
Li1 0.000 0.000 0.000 1
Li2 0.003 0.000 0.502 1
Li3 0.167 0.500 0.102 1
Li4 0.336 0.000 0.602 1
Co1 0.085 0.256 0.783 1
Co2 0.164 0.500 0.513 1
Co3 0.170 0.000 0.284 1
Co4 0.332 0.000 0.014 1
Ni1 0.330 0.500 0.784 1
Ni2 0.415 0.247 0.284 1
O1 0.022 0.500 0.660 1
O2 0.081 0.244 0.400 1
O3 0.165 0.000 0.895 1
O4 0.169 0.500 0.888 1
O5 0.240 0.280 0.657 1
O6 0.261 0.221 0.158 1
O7 0.335 0.000 0.386 1
O8 0.338 0.500 0.399 1
O9 0.418 0.257 0.900 1
O10 0.479 0.000 0.158 1
O11 0.497 0.500 0.692 1
O12 0.498 0.500 0.191 1
```